[1]
For Li2Tm, a crystal structure in Alexandria, relaxed with GGA-PBE gives the computed X-ray diffraction stick pattern in this record (copper Kα).

Atomic structure:
```
data_Li2Tm
_chemical_formula_sum 'Li2 Tm1'
_cell_length_a 3.2763
_cell_length_b 3.2770
_cell_length_c 7.8340
_cell_angle_alpha 88.06
_cell_angle_beta 88.20
_cell_angle_gamma 61.09
_symmetry_space_group_name_H-M 'P -1'
_symmetry_Int_Tables_number 2
_symmetry_space_group_name_Hall '-P 1'
loop_
_atom_site_label
_atom_site_type_symbol
_atom_site_fract_x
_atom_site_fract_y
_atom_site_fract_z
Li1 Li 0.1699 0.1707 0.1554
Tm1 Tm 0.5000 0.5000 0.5000
```

Peak list (6 most intense, 10 to 80 degrees two-theta, by angle)
2θ 11.30, rel. 100, (0 0 1)
2θ 22.72, rel. 22, (0 0 2)
2θ 31.19, rel. 19, (1 0 0)
2θ 33.06, rel. 17, (1 0 1)
2θ 33.41, rel. 19, (1 1 1)
2θ 38.56, rel. 13, (1 0 2)

***

[2]
For NbCo10B3, a crystal structure in Alexandria, relaxed with GGA-PBE gives the computed X-ray diffraction stick pattern in this record (copper Kα).

Atomic structure:
```
data_NbCo10B3
_chemical_formula_sum 'Nb8 Co80 B24'
_cell_length_a 10.4665
_cell_length_b 10.4665
_cell_length_c 10.4665
_cell_angle_alpha 90.00
_cell_angle_beta 90.00
_cell_angle_gamma 90.00
_symmetry_space_group_name_H-M 'F m -3 m'
_symmetry_Int_Tables_number 225
_symmetry_space_group_name_Hall '-F 4 2 3'
loop_
_atom_site_label
_atom_site_type_symbol
_atom_site_fract_x
_atom_site_fract_y
_atom_site_fract_z
Nb1 Nb 0.2500 0.2500 0.2500
Co1 Co 0.0000 0.1687 0.1687
Co2 Co 0.1164 0.1164 0.3836
B1 B 0.0000 0.0000 0.2731
```

Peak list (6 most intense, 10 to 80 degrees two-theta, by angle)
2θ 38.46, rel. 65, (4 2 0)
2θ 42.30, rel. 36, (4 2 2)
2θ 45.01, rel. 100, (3 3 3)
2θ 49.25, rel. 25, (4 4 0)
2θ 51.67, rel. 45, (5 3 1)
2θ 77.36, rel. 27, (6 6 0)